Record 1
# MnHg3
Calculated powder X-ray diffraction pattern, a wavelength of 1.5418 Å. Input: the PBE geometry in the Materials Project.
Kinematic intensities with the Lorentz-polarization factor, no thermal factor.

Atomic structure:
a = 4.4178 Å, b = 4.4178 Å, c = 4.4178 Å
α = 90.00°, β = 90.00°, γ = 90.00°
Positions (direct):
1 Mn 0.0000 0.0000 0.0000
2 Hg 0.0000 0.5000 0.5000
3 Hg 0.5000 0.0000 0.5000
4 Hg 0.5000 0.5000 0.0000

Top 10 peaks for 15 to 90 degrees two-theta, in order of falling intensity:
d_spacing, 2θ (°), intensity
2.551, 35.2, 100.0
2.209, 40.9, 49.9
1.332, 70.7, 40.1
1.562, 59.2, 33.8
4.418, 20.1, 13.7
3.124, 28.6, 12.1
1.275, 74.4, 11.6
1.976, 45.9, 7.1
1.104, 88.5, 5.9
1.804, 50.6, 5.4

---

Record 2
# Gd4PdO7
Calculated powder X-ray diffraction pattern, a wavelength of 1.5418 Å. Input: the PBE geometry in the Materials Project.
Kinematic intensities with the Lorentz-polarization factor, no thermal factor.

Atomic structure:
a = 6.8246 Å, b = 7.1846 Å, c = 7.9002 Å
α = 69.79°, β = 71.86°, γ = 84.11°
Positions (direct):
1 Gd 0.1417 0.3515 0.3581
2 Gd 0.1635 0.3317 0.8783
3 Gd 0.2804 0.8868 0.7110
4 Gd 0.2903 0.8996 0.2248
5 Gd 0.7097 0.1004 0.7752
6 Gd 0.7196 0.1132 0.2890
7 Gd 0.8365 0.6683 0.1217
8 Gd 0.8583 0.6485 0.6419
9 Pd 0.5000 0.5000 0.0000
10 Pd 0.5000 0.5000 0.5000
11 O 0.0274 0.2594 0.6761
12 O 0.0693 0.1663 0.1967
13 O 0.1993 0.5817 0.0083
14 O 0.2289 0.6405 0.5887
15 O 0.3419 0.0409 0.9010
16 O 0.3527 0.0831 0.3991
17 O 0.4420 0.5715 0.2430
18 O 0.5580 0.4285 0.7570
19 O 0.6473 0.9169 0.6009
20 O 0.6581 0.9591 0.0990
21 O 0.7711 0.3595 0.4113
22 O 0.8007 0.4183 0.9917
23 O 0.9308 0.8337 0.8033
24 O 0.9726 0.7406 0.3239

Top 10 peaks for 15 to 90 degrees two-theta, in order of falling intensity:
d_spacing, 2θ (°), intensity
3.002, 29.8, 100.0
2.848, 31.4, 62.8
2.779, 32.2, 39.6
2.916, 30.7, 35.1
1.969, 46.1, 19.7
2.062, 43.9, 18.6
1.670, 55.0, 16.5
2.119, 42.7, 13.5
1.716, 53.4, 11.1
1.766, 51.8, 10.2

---

Record 3
# Eu2ZnGe3
Calculated powder X-ray diffraction pattern, a wavelength of 1.5418 Å. Input: the PBE geometry in the Materials Project.
Kinematic intensities with the Lorentz-polarization factor, no thermal factor.

Atomic structure:
a = 8.6196 Å, b = 8.5442 Å, c = 6.1340 Å
α = 69.72°, β = 68.40°, γ = 41.88°
Positions (direct):
1 Eu 0.2446 0.7554 0.2446
2 Eu 0.2500 0.2500 0.2500
3 Eu 0.7500 0.7500 0.7500
4 Eu 0.7554 0.2446 0.7554
5 Zn 0.3335 0.3335 0.6665
6 Zn 0.6665 0.6665 0.3335
7 Ge 0.1689 0.1689 0.8311
8 Ge 0.1696 0.6617 0.8304
9 Ge 0.3383 0.8304 0.6617
10 Ge 0.6617 0.1696 0.3383
11 Ge 0.8304 0.3383 0.1696
12 Ge 0.8311 0.8311 0.1689

Top 10 peaks for 15 to 90 degrees two-theta, in order of falling intensity:
d_spacing, 2θ (°), intensity
2.833, 31.6, 100.0
1.534, 60.3, 26.9
2.136, 42.3, 26.3
1.704, 53.8, 14.6
2.206, 40.9, 14.4
2.131, 42.4, 13.0
1.333, 70.7, 12.8
3.697, 24.1, 11.4
1.366, 68.7, 10.3
1.707, 53.7, 7.3